# 1
Structure and computed powder diffractogram of AcMnO3 (a crystal structure in the Materials Project, relaxed with PBE+U; Cu Kα X-rays).

Atomic structure:
```
AcMnO3
1.0
4.0097 0.0000 0.0000
0.0000 4.0097 0.0000
0.0000 0.0000 4.0097
Ac Mn O
1 1 3
Cartesian
0.0000 0.0000 0.0000 Ac
2.0049 2.0049 2.0049 Mn
0.0000 2.0049 2.0049 O
2.0049 0.0000 2.0049 O
2.0049 2.0049 0.0000 O
```

Main lines, by angle (2θ = 5–70°):
2theta, I (rel.)
22.2, 36.3
31.6, 100.0
38.9, 25.8
45.2, 28.7
50.9, 18.7
56.2, 40.3
65.9, 17.8

=====

# 2
Structure and computed powder diffractogram of AlNiAg2F7 (a crystal structure in the Materials Project, relaxed with PBE+U; Cu Kα X-rays).

Atomic structure:
```
AlNiAg2F7
1.0
-3.6424 5.0947 3.8439
3.6424 -5.0947 3.8439
3.6424 5.0947 -3.8439
Al Ni Ag F
2 2 4 14
Cartesian
0.0000 0.0000 0.0000 Al
0.0000 5.0947 0.0000 Al
-1.8212 2.5473 1.9220 Ni
1.8212 2.5473 1.9220 Ni
1.8212 2.5473 -1.9220 Ag
1.8212 -2.5473 1.9220 Ag
3.6424 0.0000 0.0000 Ag
0.0000 0.0000 3.8439 Ag
3.6424 4.2371 -2.2206 F
1.3045 1.1426 0.5528 F
5.9803 1.1426 0.5528 F
3.6424 -0.8576 2.2206 F
3.6424 2.5473 1.0758 F
1.3045 3.9520 0.5528 F
2.3379 -1.1426 4.3967 F
1.3045 6.2373 -0.5528 F
2.3379 1.1426 3.2911 F
0.0000 2.5473 2.7681 F
0.0000 5.9523 1.6233 F
-2.3379 3.9520 3.2911 F
2.3379 3.9520 3.2911 F
0.0000 0.8576 6.0645 F
```

Main lines, by angle (2θ = 5–70°):
2theta, I (rel.)
29.1, 100.0
30.2, 89.4
33.9, 41.8
35.2, 17.9
39.3, 15.6
49.7, 56.5
57.1, 33.8
59.0, 23.8

=====

# 3
Structure and computed powder diffractogram of Co3AgAs3O12 (a crystal structure in the Materials Project, relaxed with PBE+U; Cu Kα X-rays).

Atomic structure:
```
Co3AgAs3O12
1.0
5.9689 -6.3865 0.0000
5.9689 6.3865 0.0000
-2.6783 0.0000 6.2401
Co Ag As O
6 2 6 24
Cartesian
1.0594 2.0574 5.4596 Co
3.9602 3.5245 4.6801 Co
2.3985 -2.0574 2.3396 Co
6.8611 2.0574 3.9005 Co
5.2994 -3.5245 1.5600 Co
8.2002 -2.0574 0.7805 Co
5.2994 0.1624 1.5600 Ag
3.9602 -0.1624 4.6801 Ag
2.1527 1.4360 2.3831 As
5.2994 3.8939 1.5600 As
0.8136 -1.4360 5.5032 As
8.4460 1.4360 0.7369 As
3.9602 -3.8939 4.6801 As
7.1069 -1.4360 3.8570 As
-0.6034 1.4916 4.7860 O
0.5127 1.3012 2.0897 O
2.9577 2.3805 1.1332 O
2.4463 2.1980 3.9368 O
-0.8264 -1.3012 5.2098 O
5.3990 2.9287 0.1149 O
0.7357 -1.4916 1.6660 O
5.1998 2.9287 3.0052 O
1.6785 0.0846 5.6175 O
3.0176 -0.0846 2.4974 O
1.6186 -2.3805 4.2533 O
5.4742 2.1980 5.4233 O
3.7855 -2.1980 0.8168 O
7.6410 2.3805 1.9868 O
6.2421 0.0846 3.7427 O
7.5812 -0.0846 0.6226 O
4.0598 -2.9287 3.2349 O
8.5239 1.4916 4.5741 O
3.8607 -2.9287 6.1252 O
10.0861 1.3012 1.0303 O
6.8133 -2.1980 2.3033 O
6.3019 -2.3805 5.1069 O
8.7469 -1.3012 4.1504 O
9.8630 -1.4916 1.4541 O
```

Main lines, by angle (2θ = 5–70°):
2theta, I (rel.)
10.6, 80.6
22.4, 46.5
30.2, 41.0
32.3, 54.2
32.4, 96.3
32.7, 46.0
33.6, 33.3
33.9, 100.0